No. 1
The following is a calculated XRD peak list of Zr8Cd2C3N3. It was derived from a DFT-relaxed cell (GGA-PBE, OQMD), using λ = 1.5418 Å (Cu Kα).
Neutral-atom scattering factors, no anomalous dispersion.

Main lines, by angle (2θ = 15–90°):
2θ 31.3, d = 2.856 Å, intensity 39.6; 2θ 34.2, d = 2.624 Å, intensity 68.8; 2θ 34.8, d = 2.575 Å, intensity 51.5; 2θ 35.8, d = 2.510 Å, intensity 100.0; 2θ 37.7, d = 2.388 Å, intensity 89.3; 2θ 44.7, d = 2.027 Å, intensity 14.8; 2θ 50.3, d = 1.815 Å, intensity 17.0; 2θ 55.4, d = 1.659 Å, intensity 52.5; 2θ 59.7, d = 1.549 Å, intensity 15.4; 2θ 63.1, d = 1.474 Å, intensity 16.6; 2θ 66.6, d = 1.403 Å, intensity 23.6; 2θ 67.1, d = 1.395 Å, intensity 44.7

Cell and atoms:
a = 3.319 Å, b = 3.319 Å, c = 25.745 Å
α = 90.00°, β = 90.00°, γ = 120.00°
Fractional coordinates of all 16 atoms:
Zr1 0.000 0.000 0.150
Zr2 0.000 0.000 0.346
Zr3 0.000 0.000 0.654
Zr4 0.000 0.000 0.850
Zr5 0.333 0.667 0.551
Zr6 0.333 0.667 0.948
Zr7 0.667 0.333 0.052
Zr8 0.667 0.333 0.449
Cd1 0.333 0.667 0.753
Cd2 0.667 0.333 0.247
C1 0.000 0.000 0.500
C2 0.333 0.667 0.391
C3 0.667 0.333 0.609
N1 0.000 0.000 0.000
N2 0.333 0.667 0.103
N3 0.667 0.333 0.897


No. 2
The following is a calculated XRD peak list of Nb4CdC3. It was derived from a DFT-relaxed cell (GGA-PBE, OQMD), using λ = 1.5418 Å (Cu Kα).
Neutral-atom scattering factors, no anomalous dispersion.

Main lines, by angle (2θ = 15–90°):
2θ 32.8, d = 2.727 Å, intensity 32.0; 2θ 35.7, d = 2.516 Å, intensity 100.0; 2θ 37.3, d = 2.409 Å, intensity 79.4; 2θ 39.2, d = 2.296 Å, intensity 73.4; 2θ 52.0, d = 1.758 Å, intensity 16.1; 2θ 58.3, d = 1.584 Å, intensity 41.2; 2θ 61.7, d = 1.504 Å, intensity 11.1; 2θ 65.1, d = 1.432 Å, intensity 12.9; 2θ 68.8, d = 1.365 Å, intensity 14.2; 2θ 70.2, d = 1.341 Å, intensity 43.7; 2θ 71.3, d = 1.323 Å, intensity 11.1; 2θ 72.5, d = 1.304 Å, intensity 11.1

Cell and atoms:
a = 3.167 Å, b = 3.167 Å, c = 25.182 Å
α = 90.00°, β = 90.00°, γ = 120.00°
Fractional coordinates of all 16 atoms:
Nb1 0.000 0.000 0.152
Nb2 0.000 0.000 0.348
Nb3 0.000 0.000 0.652
Nb4 0.000 0.000 0.848
Nb5 0.333 0.667 0.053
Nb6 0.333 0.667 0.447
Nb7 0.667 0.333 0.553
Nb8 0.667 0.333 0.947
Cd1 0.333 0.667 0.250
Cd2 0.667 0.333 0.750
C1 0.000 0.000 0.000
C2 0.000 0.000 0.500
C3 0.333 0.667 0.606
C4 0.333 0.667 0.894
C5 0.667 0.333 0.106
C6 0.667 0.333 0.394


No. 3
The following is a calculated XRD peak list of CdNi4C2S. It was derived from a DFT-relaxed cell (GGA-PBE, OQMD), using λ = 1.5418 Å (Cu Kα).
Neutral-atom scattering factors, no anomalous dispersion.

Main lines, by angle (2θ = 15–90°):
2θ 23.2, d = 3.834 Å, intensity 6.2; 2θ 33.8, d = 2.651 Å, intensity 30.0; 2θ 37.3, d = 2.408 Å, intensity 17.5; 2θ 39.2, d = 2.301 Å, intensity 6.7; 2θ 41.4, d = 2.181 Å, intensity 100.0; 2θ 47.4, d = 1.917 Å, intensity 9.5; 2θ 59.5, d = 1.554 Å, intensity 12.0; 2θ 60.5, d = 1.531 Å, intensity 23.9; 2θ 75.2, d = 1.264 Å, intensity 6.0; 2θ 75.9, d = 1.253 Å, intensity 14.9; 2θ 80.2, d = 1.196 Å, intensity 11.2; 2θ 84.1, d = 1.151 Å, intensity 5.6

Cell and atoms:
a = 3.062 Å, b = 3.062 Å, c = 11.503 Å
α = 90.00°, β = 90.00°, γ = 120.00°
Fractional coordinates of all 8 atoms:
Cd1 0.000 0.000 0.000
Ni1 0.000 0.000 0.349
Ni2 0.000 0.000 0.651
Ni3 0.667 0.333 0.192
Ni4 0.667 0.333 0.808
C1 0.333 0.667 0.263
C2 0.333 0.667 0.737
S1 0.667 0.333 0.500


No. 4
The following is a calculated XRD peak list of Ta4CdPC2. It was derived from a DFT-relaxed cell (GGA-PBE, OQMD), using λ = 1.5418 Å (Cu Kα).
Neutral-atom scattering factors, no anomalous dispersion.

Main lines, by angle (2θ = 15–90°):
2θ 31.9, d = 2.805 Å, intensity 31.9; 2θ 32.7, d = 2.741 Å, intensity 13.9; 2θ 34.6, d = 2.595 Å, intensity 16.9; 2θ 34.8, d = 2.575 Å, intensity 20.5; 2θ 38.2, d = 2.353 Å, intensity 100.0; 2θ 42.6, d = 2.122 Å, intensity 11.2; 2θ 47.7, d = 1.905 Å, intensity 11.6; 2θ 56.9, d = 1.619 Å, intensity 27.7; 2θ 66.6, d = 1.404 Å, intensity 24.1; 2θ 68.3, d = 1.374 Å, intensity 14.3; 2θ 70.6, d = 1.334 Å, intensity 16.5; 2θ 73.0, d = 1.296 Å, intensity 8.7

Cell and atoms:
a = 3.239 Å, b = 3.239 Å, c = 12.976 Å
α = 90.00°, β = 90.00°, γ = 120.00°
Fractional coordinates of all 8 atoms:
Ta1 0.000 0.000 0.133
Ta2 0.000 0.000 0.867
Ta3 0.667 0.333 0.313
Ta4 0.667 0.333 0.687
Cd1 0.000 0.000 0.500
P1 0.667 0.333 0.000
C1 0.333 0.667 0.229
C2 0.333 0.667 0.771


Please write out number 4 again, unchanged.
The following is a calculated XRD peak list of Ta4CdPC2. It was derived from a DFT-relaxed cell (GGA-PBE, OQMD), using λ = 1.5418 Å (Cu Kα).
Neutral-atom scattering factors, no anomalous dispersion.

Main lines, by angle (2θ = 15–90°):
2θ 31.9, d = 2.805 Å, intensity 31.9; 2θ 32.7, d = 2.741 Å, intensity 13.9; 2θ 34.6, d = 2.595 Å, intensity 16.9; 2θ 34.8, d = 2.575 Å, intensity 20.5; 2θ 38.2, d = 2.353 Å, intensity 100.0; 2θ 42.6, d = 2.122 Å, intensity 11.2; 2θ 47.7, d = 1.905 Å, intensity 11.6; 2θ 56.9, d = 1.619 Å, intensity 27.7; 2θ 66.6, d = 1.404 Å, intensity 24.1; 2θ 68.3, d = 1.374 Å, intensity 14.3; 2θ 70.6, d = 1.334 Å, intensity 16.5; 2θ 73.0, d = 1.296 Å, intensity 8.7

Cell and atoms:
a = 3.239 Å, b = 3.239 Å, c = 12.976 Å
α = 90.00°, β = 90.00°, γ = 120.00°
Fractional coordinates of all 8 atoms:
Ta1 0.000 0.000 0.133
Ta2 0.000 0.000 0.867
Ta3 0.667 0.333 0.313
Ta4 0.667 0.333 0.687
Cd1 0.000 0.000 0.500
P1 0.667 0.333 0.000
C1 0.333 0.667 0.229
C2 0.333 0.667 0.771